For CdGe2F6, a crystal structure in Alexandria, relaxed with PBE gives the simulated powder diffractogram in this record (Cu Kα (weighted mean of Kα1 and Kα2)).
Kinematic intensities with the Lorentz-polarization factor, no thermal factor.

Atomic structure:
Cell lengths 7.4203, 7.4203, 6.0005 Å; angles 101.36, 101.36, 100.76 degrees
Atoms (fractional coordinates):
Cd 0.0852 0.9148 0.7500
Cd 0.9148 0.0852 0.2500
Ge 0.2240 0.4669 0.8512
Ge 0.4669 0.2240 0.3512
Ge 0.5331 0.7760 0.6488
Ge 0.7760 0.5331 0.1488
F 0.0549 0.6347 0.8525
F 0.0577 0.1955 0.6384
F 0.1955 0.0577 0.1384
F 0.2588 0.5131 0.5623
F 0.3653 0.9451 0.6475
F 0.4869 0.7412 0.9377
F 0.5131 0.2588 0.0623
F 0.6347 0.0549 0.3525
F 0.7412 0.4869 0.4377
F 0.8045 0.9423 0.8616
F 0.9423 0.8045 0.3616
F 0.9451 0.3653 0.1475

Main lines, in order of rising 2θ (10° ≤ 2θ ≤ 80°):
- 22.26°, I 100
- 26.23°, I 87
- 30.81°, I 83
- 31.31°, I 58
- 50.17°, I 44
- 50.56°, I 50